Calculated XRD peak list
Compound: CaN
Radiation: Cu Kα X-rays
Structure: DFT lattice parameters and positions (PBE)
Neutral-atom scattering factors, no anomalous dispersion.

Atomic structure:
```
CaN
1.0
0.000 2.508 2.508
2.508 0.000 2.508
2.508 2.508 0.000
Ca N
1 1
Direct
0.000 0.000 0.000
0.500 0.500 0.500
```

Most intense lines, 10° ≤ 2θ ≤ 80°, in order of rising 2θ:
Position (°2θ), intensity
30.88, 52
35.80, 100
51.54, 60
61.30, 22
64.34, 18
75.87, 8